Record 1
MgV8O8F8: calculated powder X-ray diffraction pattern (a wavelength of 1.5418 Å), based on DFT lattice parameters and positions (GGA+U).
Lines closer than 0.1° are merged.

Crystal structure
a b c (Å): 4.922 5.703 10.650
angles (deg): 96.04 92.00 94.33
Positions (direct):
Mg (0.000, 0.000, 0.000)
V (0.012, 0.558, 0.857)
V (0.017, 0.826, 0.601)
V (0.459, 0.597, 0.378)
V (0.465, 0.842, 0.117)
V (0.495, 0.089, 0.862)
V (0.513, 0.334, 0.626)
V (0.902, 0.413, 0.165)
V (0.974, 0.094, 0.371)
O (0.179, 0.818, 0.445)
O (0.264, 0.565, 0.205)
O (0.289, 0.812, 0.933)
O (0.303, 0.063, 0.696)
O (0.677, 0.613, 0.556)
O (0.681, 0.156, 0.041)
O (0.703, 0.359, 0.798)
O (0.748, 0.377, 0.316)
F (0.143, 0.053, 0.181)
F (0.186, 0.291, 0.936)
F (0.196, 0.548, 0.690)
F (0.282, 0.319, 0.458)
F (0.666, 0.860, 0.293)
F (0.792, 0.113, 0.550)
F (0.818, 0.661, 0.037)
F (0.823, 0.867, 0.813)

Peak list (12 most intense, 2θ = 15–90°, sorted by position)
| 2θ/deg | Rel. int. |
| --- | --- |
| 24.9 | 90 |
| 27.2 | 100 |
| 33.7 | 33 |
| 33.9 | 56 |
| 34.3 | 28 |
| 49.6 | 25 |
| 50.5 | 19 |
| 51.0 | 20 |
| 52.4 | 20 |
| 53.2 | 21 |
| 56.0 | 22 |
| 58.6 | 23 |

=====

Record 2
MgV2CdO6: calculated powder X-ray diffraction pattern (a wavelength of 1.5418 Å), based on DFT lattice parameters and positions (GGA+U).
Lines closer than 0.1° are merged.

Crystal structure
a b c (Å): 5.239 5.239 7.051
angles (deg): 115.11 115.11 44.05
Positions (direct):
Mg (0.000, 0.000, 0.000)
V (0.346, 0.346, 0.156)
V (0.720, 0.720, 0.379)
Cd (0.526, 0.526, 0.716)
O (0.181, 0.181, 0.905)
O (0.231, 0.231, 0.326)
O (0.509, 0.509, 0.051)
O (0.559, 0.559, 0.432)
O (0.848, 0.848, 0.196)
O (0.879, 0.879, 0.660)

Peak list (12 most intense, 2θ = 15–90°, sorted by position)
| 2θ/deg | Rel. int. |
| --- | --- |
| 18.9 | 82 |
| 24.9 | 100 |
| 26.4 | 61 |
| 30.0 | 88 |
| 31.0 | 66 |
| 34.3 | 60 |
| 35.9 | 75 |
| 38.8 | 31 |
| 44.4 | 42 |
| 46.2 | 59 |
| 46.5 | 35 |
| 54.9 | 28 |

=====

Record 3
Li5Fe8B8O24: calculated powder X-ray diffraction pattern (a wavelength of 1.5418 Å), based on DFT lattice parameters and positions (GGA+U).
Lines closer than 0.1° are merged.

Crystal structure
a b c (Å): 5.249 9.121 10.118
angles (deg): 88.85 88.57 89.67
Positions (direct):
Li (0.000, 0.000, 0.000)
Li (0.008, 0.990, 0.514)
Li (0.331, 0.343, 0.255)
Li (0.505, 0.501, 0.981)
Li (0.822, 0.843, 0.252)
Fe (0.024, 0.330, 0.970)
Fe (0.334, 0.013, 0.228)
Fe (0.338, 0.671, 0.719)
Fe (0.494, 0.179, 0.483)
Fe (0.514, 0.830, 0.969)
Fe (0.834, 0.502, 0.229)
Fe (0.837, 0.173, 0.729)
Fe (0.986, 0.659, 0.479)
B (0.006, 0.668, 0.980)
B (0.338, 0.001, 0.724)
B (0.338, 0.667, 0.221)
B (0.497, 0.842, 0.473)
B (0.507, 0.167, 0.974)
B (0.832, 0.172, 0.220)
B (0.837, 0.502, 0.730)
B (0.996, 0.331, 0.465)
O (0.075, 0.666, 0.256)
O (0.078, 0.016, 0.715)
O (0.251, 0.335, 0.445)
O (0.259, 0.655, 0.934)
O (0.360, 0.969, 0.440)
O (0.363, 0.721, 0.523)
O (0.374, 0.040, 0.008)
O (0.396, 0.302, 0.983)
O (0.445, 0.868, 0.763)
O (0.460, 0.798, 0.193)
O (0.469, 0.535, 0.211)
O (0.493, 0.119, 0.690)
O (0.579, 0.182, 0.259)
O (0.581, 0.521, 0.746)
O (0.760, 0.838, 0.455)
O (0.768, 0.154, 0.933)
O (0.849, 0.452, 0.421)
O (0.873, 0.209, 0.523)
O (0.879, 0.539, 0.024)
O (0.888, 0.801, 0.985)
O (0.949, 0.369, 0.766)
O (0.954, 0.039, 0.208)
O (0.966, 0.303, 0.188)
O (0.992, 0.614, 0.682)

Peak list (12 most intense, 2θ = 15–90°, sorted by position)
| 2θ/deg | Rel. int. |
| --- | --- |
| 19.5 | 85 |
| 21.6 | 100 |
| 25.9 | 23 |
| 26.1 | 32 |
| 26.7 | 24 |
| 34.0 | 25 |
| 34.2 | 58 |
| 35.5 | 84 |
| 40.3 | 22 |
| 40.4 | 19 |
| 40.7 | 18 |
| 61.0 | 28 |

=====

Repeat the second record exactly.
MgV2CdO6: calculated powder X-ray diffraction pattern (a wavelength of 1.5418 Å), based on DFT lattice parameters and positions (GGA+U).
Lines closer than 0.1° are merged.

Crystal structure
a b c (Å): 5.239 5.239 7.051
angles (deg): 115.11 115.11 44.05
Positions (direct):
Mg (0.000, 0.000, 0.000)
V (0.346, 0.346, 0.156)
V (0.720, 0.720, 0.379)
Cd (0.526, 0.526, 0.716)
O (0.181, 0.181, 0.905)
O (0.231, 0.231, 0.326)
O (0.509, 0.509, 0.051)
O (0.559, 0.559, 0.432)
O (0.848, 0.848, 0.196)
O (0.879, 0.879, 0.660)

Peak list (12 most intense, 2θ = 15–90°, sorted by position)
| 2θ/deg | Rel. int. |
| --- | --- |
| 18.9 | 82 |
| 24.9 | 100 |
| 26.4 | 61 |
| 30.0 | 88 |
| 31.0 | 66 |
| 34.3 | 60 |
| 35.9 | 75 |
| 38.8 | 31 |
| 44.4 | 42 |
| 46.2 | 59 |
| 46.5 | 35 |
| 54.9 | 28 |

=====

- Which formula does entry 3 have?
  Li5Fe8B8O24